(1)
For AcPb5S7, a crystal structure in Alexandria, relaxed with PBE gives the simulated powder XRD pattern in this record (Cu Ka).
Kinematic intensities with the Lorentz-polarization factor, no thermal factor.

Most intense lines, 5 to 70 degrees two-theta, in order of rising 2θ:
2theta	intensity
24.7	52.0
25.4	100.0
26.6	45.0
29.6	60.3
30.8	66.3
40.1	33.3
43.2	68.6
50.7	33.2

Atomic structure:
```
AcPb5S7
1.0
2.095 -6.970 0.000
2.095 6.970 0.000
0.000 0.000 24.399
Ac Pb S
2 10 14
Direct
0.209 0.791 0.500
0.791 0.209 0.000
0.007 0.993 0.744
0.260 0.740 0.166
0.279 0.721 0.818
0.453 0.547 0.392
0.475 0.525 0.592
0.525 0.475 0.092
0.547 0.453 0.892
0.721 0.279 0.318
0.740 0.260 0.666
0.993 0.007 0.244
0.083 0.917 0.349
0.115 0.885 0.621
0.172 0.828 0.063
0.195 0.805 0.923
0.356 0.644 0.280
0.374 0.626 0.706
0.439 0.561 0.990
0.561 0.439 0.490
0.626 0.374 0.206
0.644 0.356 0.780
0.805 0.195 0.423
0.828 0.172 0.563
0.885 0.115 0.121
0.917 0.083 0.849
```


(2)
For ZnInNiH, a crystal structure in Alexandria, relaxed with PBE gives the simulated powder XRD pattern in this record (Cu Ka).
Kinematic intensities with the Lorentz-polarization factor, no thermal factor.

Most intense lines, 5 to 70 degrees two-theta, in order of rising 2θ:
2theta	intensity
25.2	16.9
29.4	47.7
33.2	31.8
40.0	39.5
42.1	100.0
43.3	47.0
50.4	20.4
54.5	15.4

Atomic structure:
```
ZnInNiH
1.0
3.370 0.000 0.000
0.000 4.503 0.000
0.000 0.000 7.080
Zn In Ni H
2 2 2 2
Direct
0.000 0.000 0.000
0.500 0.500 0.500
0.000 0.000 0.600
0.500 0.500 0.100
0.000 0.500 0.799
0.500 0.000 0.299
0.000 0.000 0.276
0.500 0.500 0.776
```